The following is a computed powder X-ray diffraction pattern of Tl4In5Hg6. It was derived from a cell relaxed with PBE, using Cu Kα X-rays.
No peak broadening, texture or thermal motion is included.

Structure:
a b c (Å): 11.128 11.128 16.300
angles (deg): 90.00 90.00 154.17
Fractional coordinates of all 30 atoms:
Tl  0.042  0.958  0.500
Tl  0.042  0.958  0.764
Tl  0.155  0.845  0.308
Tl  0.156  0.844  0.956
Tl  0.844  0.156  0.456
Tl  0.845  0.155  0.808
Tl  0.958  0.042  0.000
Tl  0.958  0.042  0.264
In  0.179  0.821  0.633
In  0.324  0.676  0.632
In  0.335  0.665  0.305
In  0.337  0.663  0.959
In  0.476  0.524  0.631
In  0.524  0.476  0.131
In  0.663  0.337  0.459
In  0.665  0.335  0.805
In  0.676  0.324  0.132
In  0.821  0.179  0.133
Hg  0.096  0.904  0.132
Hg  0.247  0.753  0.470
Hg  0.249  0.751  0.795
Hg  0.391  0.609  0.132
Hg  0.441  0.559  0.439
Hg  0.442  0.558  0.824
Hg  0.558  0.442  0.324
Hg  0.559  0.441  0.939
Hg  0.609  0.391  0.632
Hg  0.751  0.249  0.295
Hg  0.753  0.247  0.970
Hg  0.904  0.096  0.632

Top 10 peaks for 2θ = 10–80°, low angle first:
2θ (°)  I (rel.)
27.8  33
28.6  19
32.0  100
33.0  33
36.1  40
38.0  21
43.2  12
49.7  22
62.2  13
62.3  14


The following is a computed powder X-ray diffraction pattern of Tl3In10Hg3. It was derived from a cell relaxed with PBE, using Cu Kα X-rays.
No peak broadening, texture or thermal motion is included.

Structure:
a b c (Å): 9.325 9.325 6.036
angles (deg): 90.00 90.00 120.00
Fractional coordinates of all 16 atoms:
Tl  0.000  0.594  0.000
Tl  0.406  0.406  0.000
Tl  0.594  0.000  0.000
In  0.000  0.213  0.000
In  0.000  0.784  0.500
In  0.213  0.000  0.000
In  0.216  0.216  0.500
In  0.333  0.667  0.254
In  0.333  0.667  0.746
In  0.667  0.333  0.254
In  0.667  0.333  0.746
In  0.784  0.000  0.500
In  0.787  0.787  0.000
Hg  0.000  0.398  0.500
Hg  0.398  0.000  0.500
Hg  0.602  0.602  0.500

Top 10 peaks for 2θ = 10–80°, low angle first:
2θ (°)  I (rel.)
24.1  23
29.3  24
29.6  21
32.9  100
33.3  24
35.4  45
41.5  19
43.1  18
54.6  27
65.6  27


The following is a computed powder X-ray diffraction pattern of TlIn9Hg4. It was derived from a cell relaxed with PBE, using Cu Kα X-rays.
No peak broadening, texture or thermal motion is included.

Structure:
a b c (Å): 9.433 9.463 9.528
angles (deg): 78.35 72.06 74.45
Fractional coordinates of all 28 atoms:
Tl  0.250  0.142  0.367
Tl  0.750  0.858  0.633
In  0.000  0.000  0.000
In  0.034  0.938  0.329
In  0.134  0.305  0.692
In  0.178  0.739  0.594
In  0.180  0.675  0.059
In  0.309  0.447  0.832
In  0.319  0.095  0.988
In  0.456  0.366  0.139
In  0.487  0.163  0.565
In  0.500  0.500  0.500
In  0.513  0.837  0.435
In  0.544  0.634  0.861
In  0.681  0.905  0.012
In  0.691  0.553  0.168
In  0.820  0.325  0.941
In  0.822  0.261  0.406
In  0.866  0.695  0.308
In  0.966  0.062  0.671
Hg  0.055  0.353  0.127
Hg  0.182  0.514  0.394
Hg  0.313  0.913  0.753
Hg  0.378  0.791  0.193
Hg  0.622  0.209  0.807
Hg  0.687  0.087  0.247
Hg  0.818  0.486  0.606
Hg  0.945  0.647  0.873

Top 10 peaks for 2θ = 10–80°, low angle first:
2θ (°)  I (rel.)
31.3  100
31.8  64
31.9  66
32.1  94
32.5  92
32.7  56
33.1  51
33.9  60
34.1  42
34.3  63


The following is a computed powder X-ray diffraction pattern of Tl4In3Hg. It was derived from a cell relaxed with PBE, using Cu Kα X-rays.
No peak broadening, texture or thermal motion is included.

Structure:
a b c (Å): 21.560 4.659 4.669
angles (deg): 90.00 102.19 90.00
Fractional coordinates of all 16 atoms:
Tl  0.122  0.000  0.120
Tl  0.250  0.000  0.750
Tl  0.250  0.500  0.250
Tl  0.378  0.500  0.880
Tl  0.622  0.500  0.120
Tl  0.750  0.000  0.250
Tl  0.750  0.500  0.750
Tl  0.878  0.000  0.880
In  0.000  0.500  0.000
In  0.116  0.500  0.615
In  0.384  0.000  0.385
In  0.500  0.000  0.000
In  0.616  0.000  0.615
In  0.884  0.500  0.385
Hg  0.000  0.000  0.500
Hg  0.500  0.500  0.500

Top 10 peaks for 2θ = 10–80°, low angle first:
2θ (°)  I (rel.)
32.0  100
32.1  99
34.0  41
38.6  61
52.5  36
55.8  21
59.5  16
59.8  16
65.6  13
65.8  38


The following is a computed powder X-ray diffraction pattern of TlIn2Hg. It was derived from a cell relaxed with PBE, using Cu Kα X-rays.
No peak broadening, texture or thermal motion is included.

Structure:
a b c (Å): 7.068 6.671 5.857
angles (deg): 90.00 126.80 90.00
Fractional coordinates of all 8 atoms:
Tl  0.000  0.000  0.000
Tl  0.500  0.500  0.000
In  0.000  0.500  0.000
In  0.000  0.750  0.500
In  0.500  0.000  0.000
In  0.500  0.250  0.500
Hg  0.000  0.251  0.500
Hg  0.500  0.751  0.500

Top 10 peaks for 2θ = 10–80°, low angle first:
2θ (°)  I (rel.)
20.6  20
31.6  56
31.8  55
33.0  100
37.1  73
38.4  33
54.3  24
54.5  24
62.6  16
66.0  20


The following is a computed powder X-ray diffraction pattern of Tl7In2Hg3. It was derived from a cell relaxed with PBE, using Cu Kα X-rays.
No peak broadening, texture or thermal motion is included.

Structure:
a b c (Å): 17.579 17.579 17.579
angles (deg): 165.07 165.07 21.18
Fractional coordinates of all 12 atoms:
Tl  0.000  0.000  0.000
Tl  0.082  0.582  0.500
Tl  0.255  0.255  0.000
Tl  0.418  0.918  0.500
Tl  0.582  0.082  0.500
Tl  0.745  0.745  0.000
Tl  0.918  0.418  0.500
In  0.163  0.163  0.000
In  0.837  0.837  0.000
Hg  0.343  0.343  0.000
Hg  0.500  0.500  0.000
Hg  0.657  0.657  0.000

Top 10 peaks for 2θ = 10–80°, low angle first:
2θ (°)  I (rel.)
28.1  31
29.5  34
31.1  57
31.8  100
34.7  55
39.4  70
51.0  58
57.0  24
66.3  27
66.7  24